# LaTh2UAs4
Theoretical powder diffractogram, Cu Kα (weighted mean of Kα1 and Kα2). Input: a crystal structure in Alexandria, relaxed with GGA-PBE.

Crystal structure
```
data_LaTh2UAs4
_chemical_formula_sum 'La2 Th4 U2 As8'
_cell_length_a 5.9999
_cell_length_b 5.9999
_cell_length_c 11.9943
_cell_angle_alpha 90.00
_cell_angle_beta 90.00
_cell_angle_gamma 90.00
_symmetry_space_group_name_H-M 'I -4 m 2'
_symmetry_Int_Tables_number 119
_symmetry_space_group_name_Hall 'I -4 -2'
loop_
_atom_site_label
_atom_site_type_symbol
_atom_site_fract_x
_atom_site_fract_y
_atom_site_fract_z
La1 La 0.0000 0.0000 0.0000
Th1 Th 0.0000 0.0000 0.5000
Th2 Th 0.0000 0.5000 0.2500
U1 U 0.0000 0.5000 0.7500
As1 As 0.0000 0.0000 0.2521
As2 As 0.0000 0.5000 0.5052
```

Largest 12 diffraction maxima, in order of rising 2θ, 15 to 90 degrees two-theta:
two_theta, Rel. int., index
16.52, 3, 1 0 1
25.72, 38, 1 1 2
29.79, 100, 2 0 0
34.24, 1, 2 1 1
42.63, 76, 2 2 0
50.46, 19, 1 1 6
52.87, 27, 2 2 4
61.87, 13, 4 0 0
68.13, 8, 3 1 6
70.16, 35, 4 2 0
78.04, 27, 4 2 4
83.79, 7, 1 1 10

# Y4Tm7Pu
Theoretical powder diffractogram, Cu Kα (weighted mean of Kα1 and Kα2). Input: a crystal structure in Alexandria, relaxed with GGA-PBE.

Crystal structure
```
data_Y4Tm7Pu
_chemical_formula_sum 'Y8 Tm14 Pu2'
_cell_length_a 16.2614
_cell_length_b 5.7698
_cell_length_c 9.3806
_cell_angle_alpha 90.00
_cell_angle_beta 121.26
_cell_angle_gamma 90.00
_symmetry_space_group_name_H-M 'C 1 2/m 1'
_symmetry_Int_Tables_number 12
loop_
_symmetry_equiv_pos_as_xyz
'x,y,z'
'-x,-y,-z'
'-x,y,-z'
'x,-y,z'
'x+1/2,y+1/2,z'
'-x+1/2,-y+1/2,-z'
'-x+1/2,y+1/2,-z'
'x+1/2,-y+1/2,z'
loop_
_atom_site_label
_atom_site_type_symbol
_atom_site_fract_x
_atom_site_fract_y
_atom_site_fract_z
Y1 Y 0.0895 0.0000 0.4508
Y2 Y 0.2404 0.0000 0.2696
Tm1 Tm 0.0000 0.0000 0.0000
Tm2 Tm 0.0597 0.5000 0.7205
Tm3 Tm 0.1666 0.5000 0.3360
Tm4 Tm 0.2076 0.0000 0.8817
Pu1 Pu 0.0000 0.5000 0.0000
```

Largest 12 diffraction maxima, in order of rising 2θ, 15 to 90 degrees two-theta:
two_theta, Rel. int., index
16.64, 15, 1 1 0
23.63, 26, 4 0 -2
29.77, 20, 4 0 -3
30.45, 17, 1 1 2
31.00, 100, 0 2 0
32.08, 67, 5 1 -1
32.99, 21, 4 0 1
34.41, 31, 1 1 -3
39.34, 14, 4 2 -2
45.89, 16, 4 2 1
55.82, 16, 5 3 -1
56.56, 14, 1 1 -5

# AcTbNd2Sm
Theoretical powder diffractogram, Cu Kα (weighted mean of Kα1 and Kα2). Input: a crystal structure in Alexandria, relaxed with GGA-PBE.

Crystal structure
```
data_AcTbNd2Sm
_chemical_formula_sum 'Ac1 Tb1 Nd2 Sm1'
_cell_length_a 3.7363
_cell_length_b 5.8939
_cell_length_c 8.6979
_cell_angle_alpha 90.00
_cell_angle_beta 90.11
_cell_angle_gamma 90.00
_symmetry_space_group_name_H-M 'P 1 2/m 1'
_symmetry_Int_Tables_number 10
loop_
_symmetry_equiv_pos_as_xyz
'x,y,z'
'-x,-y,-z'
'-x,y,-z'
'x,-y,z'
loop_
_atom_site_label
_atom_site_type_symbol
_atom_site_fract_x
_atom_site_fract_y
_atom_site_fract_z
Ac1 Ac 0.0000 0.0000 0.0000
Tb1 Tb 0.5000 0.0000 0.5000
Nd1 Nd 0.0018 0.5000 0.3232
Sm1 Sm 0.5000 0.5000 0.0000
```

Largest 12 diffraction maxima, in order of rising 2θ, 15 to 90 degrees two-theta:
two_theta, Rel. int., index
20.42, 19, 0 0 2
25.45, 29, 0 1 2
30.13, 100, 1 1 1
30.33, 38, 0 2 0
30.84, 13, 0 0 3
34.47, 11, 0 1 3
35.14, 23, 1 1 -2
39.34, 15, 1 0 3
50.46, 15, 1 2 3
53.76, 20, 1 3 1
58.50, 12, 2 2 0
60.80, 18, 1 1 -5

# NpNi7Sn2P2
Theoretical powder diffractogram, Cu Kα (weighted mean of Kα1 and Kα2). Input: a crystal structure in Alexandria, relaxed with GGA-PBE.

Crystal structure
```
data_NpNi7Sn2P2
_chemical_formula_sum 'Np2 Ni14 Sn4 P4'
_cell_length_a 5.5340
_cell_length_b 5.3165
_cell_length_c 12.4774
_cell_angle_alpha 90.00
_cell_angle_beta 96.51
_cell_angle_gamma 90.00
_symmetry_space_group_name_H-M 'C 1 2/m 1'
_symmetry_Int_Tables_number 12
loop_
_symmetry_equiv_pos_as_xyz
'x,y,z'
'-x,-y,-z'
'-x,y,-z'
'x,-y,z'
'x+1/2,y+1/2,z'
'-x+1/2,-y+1/2,-z'
'-x+1/2,y+1/2,-z'
'x+1/2,-y+1/2,z'
loop_
_atom_site_label
_atom_site_type_symbol
_atom_site_fract_x
_atom_site_fract_y
_atom_site_fract_z
Np1 Np 0.0000 0.0000 0.0000
Ni1 Ni 0.0000 0.5000 0.0000
Ni2 Ni 0.0705 0.2505 0.7504
Ni3 Ni 0.2121 0.5000 0.3843
Sn1 Sn 0.2193 0.0000 0.4070
P1 P 0.1585 0.5000 0.1644
```

Largest 12 diffraction maxima, in order of rising 2θ, 15 to 90 degrees two-theta:
two_theta, Rel. int., index
21.50, 57, 0 0 3
28.38, 54, 1 1 2
30.58, 40, 1 1 -3
32.55, 43, 2 0 -1
33.72, 34, 0 2 0
34.20, 58, 2 0 1
36.23, 58, 0 0 5
36.79, 99, 0 2 2
37.17, 39, 2 0 -3
46.58, 47, 2 0 4
47.57, 100, 2 2 -1
50.33, 45, 0 2 5